No. 1
Diffraction record for CsH6IrPd. The powder XRD pattern is theoretical, not measured: it uses a cell relaxed with PBE and Cu Kα (weighted mean of Kα1 and Kα2).
Intensities are scaled so that the largest is 100.

Most intense lines, 10 to 90 degrees two-theta, by angle:
14.92°, I 22; 25.66°, I 100; 30.10°, I 25; 36.37°, I 44; 45.04°, I 22; 47.90°, I 40; 50.82°, I 15; 59.21°, I 20; 73.68°, I 11; 74.57°, I 11

Structure:
```
CsH6IrPd
1.0
4.9409 0.0000 0.0000
-2.4705 4.2790 0.0000
0.0000 0.0000 5.9387
Cs H Ir Pd
1 6 1 1
Direct
0.0000 0.0000 0.0000
0.3393 0.0137 0.6074
0.3393 0.3256 0.3926
0.6744 0.0137 0.3926
0.6744 0.6607 0.6074
0.9863 0.3256 0.6074
0.9863 0.6607 0.3926
0.6667 0.3333 0.5000
0.3333 0.6667 0.5000
```


No. 2
Diffraction record for CsTlH6Ir. The powder XRD pattern is theoretical, not measured: it uses a cell relaxed with PBE and Cu Kα (weighted mean of Kα1 and Kα2).
Intensities are scaled so that the largest is 100.

Most intense lines, 10 to 90 degrees two-theta, by angle:
14.18°, I 36; 23.90°, I 100; 28.59°, I 27; 33.46°, I 53; 36.51°, I 21; 41.54°, I 23; 44.58°, I 49; 47.90°, I 15; 54.36°, I 21; 67.62°, I 14

Structure:
```
CsTlH6Ir
1.0
5.3555 0.0000 0.0000
-2.6778 4.6380 0.0000
0.0000 0.0000 6.2450
Cs Tl H Ir
1 1 6 1
Direct
0.0000 0.0000 0.0000
0.3333 0.6667 0.5000
0.3967 0.1380 0.6658
0.3967 0.2587 0.3342
0.7413 0.1380 0.3342
0.7413 0.6033 0.6658
0.8620 0.2587 0.6658
0.8620 0.6033 0.3342
0.6667 0.3333 0.5000
```


No. 3
Diffraction record for Cs2TlH6Ir. The powder XRD pattern is theoretical, not measured: it uses a cell relaxed with PBE and Cu Kα (weighted mean of Kα1 and Kα2).
Intensities are scaled so that the largest is 100.

Most intense lines, 10 to 90 degrees two-theta, by angle:
16.37°, I 61; 21.25°, I 44; 28.55°, I 100; 31.83°, I 88; 43.28°, I 39; 50.56°, I 21; 52.67°, I 44; 58.66°, I 15; 68.70°, I 20; 73.92°, I 16

Structure:
```
Cs2TlH6Ir
1.0
6.2531 0.0000 0.0000
-3.1265 5.4153 0.0000
0.0000 0.0000 6.5794
Cs Tl H Ir
2 1 6 1
Direct
0.3333 0.6667 0.3293
0.6667 0.3333 0.6707
0.0000 0.0000 0.0000
0.1282 0.2563 0.6489
0.1282 0.8718 0.6489
0.2563 0.1282 0.3511
0.7437 0.8718 0.6489
0.8718 0.1282 0.3511
0.8718 0.7437 0.3511
0.0000 0.0000 0.5000
```


No. 4
Diffraction record for Cs4K2H. The powder XRD pattern is theoretical, not measured: it uses a cell relaxed with PBE and Cu Kα (weighted mean of Kα1 and Kα2).
Intensities are scaled so that the largest is 100.

Most intense lines, 10 to 90 degrees two-theta, by angle:
13.96°, I 23; 20.44°, I 61; 21.57°, I 21; 23.98°, I 100; 27.18°, I 47; 34.96°, I 25; 38.81°, I 18; 40.09°, I 16; 44.26°, I 15; 46.14°, I 34

Structure:
```
Cs4K2H
1.0
-3.2811 3.2811 12.3569
3.2811 -3.2811 12.3569
3.2811 3.2811 -12.3569
Cs K H
4 2 1
Direct
0.0000 0.5000 0.5000
0.1345 0.1345 0.0000
0.5000 0.0000 0.5000
0.8655 0.8655 0.0000
0.3224 0.3224 0.0000
0.6776 0.6776 0.0000
0.0000 0.0000 0.0000
```


No. 5
Diffraction record for Cs6K2H. The powder XRD pattern is theoretical, not measured: it uses a cell relaxed with PBE and Cu Kα (weighted mean of Kα1 and Kα2).
Intensities are scaled so that the largest is 100.

Most intense lines, 10 to 90 degrees two-theta, by angle:
11.31°, I 27; 21.06°, I 94; 22.61°, I 100; 22.74°, I 82; 23.70°, I 30; 29.75°, I 22; 34.47°, I 22; 36.31°, I 28; 37.77°, I 35; 40.76°, I 30

Structure:
```
Cs6K2H
1.0
7.9351 -5.9283 0.0000
7.9351 5.9283 0.0000
-6.7986 0.0000 7.8736
Cs K H
6 2 1
Direct
0.1976 0.7988 0.7642
0.2012 0.8024 0.2358
0.2699 0.2699 0.2673
0.7301 0.7301 0.7327
0.7988 0.1976 0.7642
0.8024 0.2012 0.2358
0.2951 0.2951 0.7951
0.7049 0.7049 0.2049
0.0000 0.0000 0.0000
```


No. 6
Diffraction record for CsK4H5. The powder XRD pattern is theoretical, not measured: it uses a cell relaxed with PBE and Cu Kα (weighted mean of Kα1 and Kα2).
Intensities are scaled so that the largest is 100.

Most intense lines, 10 to 90 degrees two-theta, by angle:
10.06°, I 23; 13.34°, I 14; 26.54°, I 34; 26.69°, I 100; 30.70°, I 28; 30.96°, I 50; 44.07°, I 17; 44.25°, I 25; 52.21°, I 14; 52.55°, I 29

Structure:
```
CsK4H5
1.0
6.7815 -2.0381 0.0000
6.7815 2.0381 0.0000
-4.9246 0.0000 8.7908
Cs K H
1 4 5
Direct
0.0000 0.0000 0.0000
0.1974 0.1974 0.7925
0.3991 0.3991 0.5924
0.6009 0.6009 0.4076
0.8026 0.8026 0.2075
0.0000 0.0000 0.5000
0.2065 0.2065 0.3139
0.3905 0.3905 0.1134
0.6095 0.6095 0.8866
0.7935 0.7935 0.6861
```


No. 7
Diffraction record for Cs6K3H. The powder XRD pattern is theoretical, not measured: it uses a cell relaxed with PBE and Cu Kα (weighted mean of Kα1 and Kα2).
Intensities are scaled so that the largest is 100.

Most intense lines, 10 to 90 degrees two-theta, by angle:
12.42°, I 13; 19.82°, I 17; 20.51°, I 16; 21.27°, I 34; 21.71°, I 21; 22.23°, I 100; 25.00°, I 13; 35.51°, I 16; 37.87°, I 23; 39.77°, I 12

Structure:
```
Cs6K3H
1.0
8.0296 -12.5303 0.0000
8.0296 12.5303 0.0000
0.0000 0.0000 8.6612
Cs K H
12 6 2
Direct
0.0861 0.9139 0.5000
0.0971 0.6006 0.3754
0.2418 0.7582 0.8353
0.2591 0.4137 0.0029
0.3994 0.9029 0.3754
0.4137 0.2591 0.5029
0.5863 0.7409 0.0029
0.6006 0.0971 0.8754
0.7409 0.5863 0.5029
0.7582 0.2418 0.3353
0.9029 0.3994 0.8754
0.9139 0.0861 0.0000
0.0857 0.2551 0.5043
0.2551 0.0857 0.0043
0.4159 0.5841 0.5056
0.5841 0.4159 0.0056
0.7449 0.9143 0.5043
0.9143 0.7449 0.0043
0.2040 0.7960 0.5170
0.7960 0.2040 0.0170
```


No. 8
Diffraction record for Cs3KMg2H9. The powder XRD pattern is theoretical, not measured: it uses a cell relaxed with PBE and Cu Kα (weighted mean of Kα1 and Kα2).
Intensities are scaled so that the largest is 100.

Most intense lines, 10 to 90 degrees two-theta, by angle:
19.86°, I 85; 28.10°, I 100; 28.35°, I 98; 34.86°, I 23; 40.34°, I 39; 45.19°, I 21; 45.53°, I 20; 49.57°, I 20; 50.04°, I 39; 50.20°, I 19

Structure:
```
Cs3KMg2H9
1.0
6.2953 0.0000 0.0000
-3.1476 5.4519 0.0000
0.0000 0.0000 7.8137
Cs K Mg H
3 1 2 9
Direct
0.0000 0.0000 0.0000
0.3333 0.6667 0.6626
0.6667 0.3333 0.3374
0.0000 0.0000 0.5000
0.3333 0.6667 0.1562
0.6667 0.3333 0.8438
0.0000 0.5000 0.0000
0.1871 0.3742 0.2943
0.1871 0.8129 0.2943
0.3742 0.1871 0.7057
0.5000 0.0000 0.0000
0.5000 0.5000 0.0000
0.6258 0.8129 0.2943
0.8129 0.1871 0.7057
0.8129 0.6258 0.7057
```


No. 9
Diffraction record for Cs3KH8Pd2. The powder XRD pattern is theoretical, not measured: it uses a cell relaxed with PBE and Cu Kα (weighted mean of Kα1 and Kα2).
Intensities are scaled so that the largest is 100.

Most intense lines, 10 to 90 degrees two-theta, by angle:
18.83°, I 33; 26.60°, I 100; 26.91°, I 57; 33.30°, I 12; 38.20°, I 22; 43.12°, I 33; 46.97°, I 20; 47.16°, I 23; 54.80°, I 13; 58.79°, I 13

Structure:
```
Cs3KH8Pd2
1.0
6.7011 0.0000 0.0000
-3.3505 5.8033 0.0000
0.0000 0.0000 8.0729
Cs K H Pd
3 1 8 2
Direct
0.0000 0.0000 0.0000
0.3333 0.6667 0.6833
0.6667 0.3333 0.3167
0.0000 0.0000 0.5000
0.1833 0.3666 0.2852
0.1833 0.8167 0.2852
0.3333 0.6667 0.1123
0.3666 0.1833 0.7148
0.6334 0.8167 0.2852
0.6667 0.3333 0.8877
0.8167 0.1833 0.7148
0.8167 0.6334 0.7148
0.3333 0.6667 0.2994
0.6667 0.3333 0.7006
```


No. 10
Diffraction record for CsKSrH4. The powder XRD pattern is theoretical, not measured: it uses a cell relaxed with PBE and Cu Kα (weighted mean of Kα1 and Kα2).
Intensities are scaled so that the largest is 100.

Most intense lines, 10 to 90 degrees two-theta, by angle:
11.77°, I 20; 19.62°, I 16; 25.85°, I 100; 26.57°, I 51; 35.33°, I 11; 35.83°, I 14; 37.93°, I 20; 45.15°, I 20; 46.47°, I 41; 53.16°, I 12

Structure:
```
CsKSrH4
1.0
-2.3719 2.3719 7.5218
2.3719 -2.3719 7.5218
2.3719 2.3719 -7.5218
Cs K Sr H
1 1 1 4
Direct
0.0000 0.0000 0.0000
0.7026 0.7026 0.0000
0.3491 0.3491 0.0000
0.1891 0.1891 0.0000
0.3416 0.8416 0.5000
0.5167 0.5167 0.0000
0.8416 0.3416 0.5000
```


No. 11
Diffraction record for Cs2KTiH6. The powder XRD pattern is theoretical, not measured: it uses a cell relaxed with PBE and Cu Kα (weighted mean of Kα1 and Kα2).
Intensities are scaled so that the largest is 100.

Most intense lines, 10 to 90 degrees two-theta, by angle:
19.47°, I 26; 27.67°, I 100; 34.06°, I 10; 39.53°, I 20; 44.43°, I 13; 48.93°, I 39; 57.14°, I 13; 60.96°, I 7; 64.64°, I 17; 78.49°, I 19

Structure:
```
Cs2KTiH6
1.0
6.4486 0.0000 0.0000
0.0000 9.1223 0.0000
0.0000 0.0000 6.4461
Cs K Ti H
4 2 2 12
Direct
0.2500 0.0003 0.2499
0.2500 0.4997 0.2499
0.7500 0.9997 0.7501
0.7500 0.5003 0.7501
0.2500 0.2500 0.7503
0.7500 0.7500 0.2497
0.2500 0.7500 0.7496
0.7500 0.2500 0.2504
0.0432 0.7500 0.5402
0.0426 0.7500 0.9585
0.2500 0.5419 0.7499
0.2500 0.9581 0.7499
0.4568 0.7500 0.5402
0.4574 0.7500 0.9585
0.5426 0.2500 0.0415
0.5432 0.2500 0.4598
0.7500 0.0419 0.2501
0.7500 0.4581 0.2501
0.9574 0.2500 0.0415
0.9568 0.2500 0.4598
```


No. 12
Diffraction record for CsLaTeHRh. The powder XRD pattern is theoretical, not measured: it uses a cell relaxed with PBE and Cu Kα (weighted mean of Kα1 and Kα2).
Intensities are scaled so that the largest is 100.

Most intense lines, 10 to 90 degrees two-theta, by angle:
10.41°, I 45; 22.21°, I 33; 23.03°, I 86; 26.05°, I 56; 28.12°, I 75; 33.06°, I 54; 35.84°, I 24; 38.47°, I 100; 45.05°, I 52; 50.59°, I 34

Structure:
```
CsLaTeHRh
1.0
2.3398 1.3509 8.5008
-2.3398 1.3509 8.5008
0.0000 -2.7018 8.5008
Cs La Te H Rh
1 1 1 1 1
Direct
0.0000 0.0000 0.0000
0.8180 0.8180 0.8180
0.5587 0.5587 0.5587
0.3863 0.3863 0.3863
0.4509 0.4509 0.4509
```


No. 13
Diffraction record for CsLi3H3. The powder XRD pattern is theoretical, not measured: it uses a cell relaxed with PBE and Cu Kα (weighted mean of Kα1 and Kα2).
Intensities are scaled so that the largest is 100.

Most intense lines, 10 to 90 degrees two-theta, by angle:
21.11°, I 100; 30.03°, I 26; 37.00°, I 58; 42.98°, I 15; 48.36°, I 22; 57.98°, I 31; 66.67°, I 13; 70.80°, I 9; 74.83°, I 7; 82.68°, I 14

Structure:
```
CsLi3H3
1.0
5.9515 0.0000 0.0000
0.0000 5.9515 0.0000
0.0000 0.0000 5.9515
Cs Li H
2 6 6
Direct
0.0000 0.0000 0.0000
0.5000 0.5000 0.5000
0.0000 0.2500 0.5000
0.0000 0.7500 0.5000
0.2500 0.5000 0.0000
0.5000 0.0000 0.2500
0.5000 0.0000 0.7500
0.7500 0.5000 0.0000
0.0000 0.5000 0.2500
0.0000 0.5000 0.7500
0.2500 0.0000 0.5000
0.5000 0.2500 0.0000
0.5000 0.7500 0.0000
0.7500 0.0000 0.5000
```